This entry pairs a crystal structure of Na5SnAs3 with its calculated powder diffractogram. Radiation: Cu Kα (λ = 1.5418 Å). Structure: a crystal structure in Alexandria, relaxed with GGA-PBE.
No peak broadening, texture or thermal motion is included.

Structure:
a = 8.387 Å, b = 8.387 Å, c = 9.775 Å
α = 106.64°, β = 106.64°, γ = 48.36°
Sites, in units of the cell vectors:
Na: 0.076 0.589 0.908
Na: 0.088 0.587 0.432
Na: 0.247 0.753 0.750
Na: 0.411 0.924 0.592
Na: 0.413 0.912 0.068
Na: 0.587 0.088 0.932
Na: 0.589 0.076 0.408
Na: 0.753 0.247 0.250
Na: 0.912 0.413 0.568
Na: 0.924 0.411 0.092
Sn: 0.250 0.750 0.250
Sn: 0.750 0.250 0.750
As: 0.116 0.192 0.821
As: 0.192 0.116 0.321
As: 0.500 0.500 0.000
As: 0.500 0.500 0.500
As: 0.808 0.884 0.679
As: 0.884 0.808 0.179

Principal peaks in the range 10° ≤ 2θ ≤ 80°, in order of rising 2θ:
2θ = 12.18°, intensity 33
2θ = 16.07°, intensity 38
2θ = 22.32°, intensity 61
2θ = 22.46°, intensity 60
2θ = 36.78°, intensity 36
2θ = 36.92°, intensity 66
2θ = 37.07°, intensity 100
2θ = 43.64°, intensity 30
2θ = 53.39°, intensity 22
2θ = 66.74°, intensity 21